[1]
Diffraction record for NpGe3Pd10. The powder diffractogram is theoretical, not measured: it uses DFT lattice parameters and positions (GGA-PBE) and Cu Kα (weighted mean of Kα1 and Kα2).
Neutral-atom scattering factors, no anomalous dispersion.

Structure:
Cell lengths 8.8156, 8.8156, 8.8156 Å; angles 60.00, 60.00, 60.00 degrees
Positions (direct):
Np1 0.2500 0.2500 0.2500
Np2 0.7500 0.7500 0.7500
Ge1 0.2354 0.2354 0.7646
Ge2 0.2354 0.7646 0.2354
Ge3 0.2354 0.7646 0.7646
Ge4 0.7646 0.2354 0.2354
Ge5 0.7646 0.2354 0.7646
Ge6 0.7646 0.7646 0.2354
Pd1 0.1186 0.1186 0.1186
Pd2 0.1186 0.1186 0.6441
Pd3 0.1186 0.6441 0.1186
Pd4 0.1518 0.5000 0.5000
Pd5 0.1518 0.5000 0.8482
Pd6 0.1518 0.8482 0.5000
Pd7 0.3559 0.8814 0.8814
Pd8 0.5000 0.1518 0.5000
Pd9 0.5000 0.1518 0.8482
Pd10 0.5000 0.5000 0.1518
Pd11 0.5000 0.5000 0.8482
Pd12 0.5000 0.8482 0.1518
Pd13 0.5000 0.8482 0.5000
Pd14 0.6441 0.1186 0.1186
Pd15 0.8482 0.1518 0.5000
Pd16 0.8482 0.5000 0.1518
Pd17 0.8482 0.5000 0.5000
Pd18 0.8814 0.3559 0.8814
Pd19 0.8814 0.8814 0.3559
Pd20 0.8814 0.8814 0.8814

Main lines, most intense first (2θ = 10–90°):
2theta	I (rel.)
37.5	100
41.0	68
32.1	57
48.4	56
42.9	55
74.6	38


[2]
Diffraction record for Np2Ge3Pd. The powder diffractogram is theoretical, not measured: it uses DFT lattice parameters and positions (GGA-PBE) and Cu Kα (weighted mean of Kα1 and Kα2).
Neutral-atom scattering factors, no anomalous dispersion.

Structure:
Cell lengths 5.5992, 5.5992, 6.1201 Å; angles 120.98, 120.98, 47.12 degrees
Positions (direct):
Np1 0.0000 0.0000 0.0000
Np2 0.0635 0.0635 0.6283
Ge1 0.3423 0.3423 0.5932
Ge2 0.6731 0.6731 0.4308
Ge3 0.7279 0.7279 0.0515
Pd1 0.3728 0.3728 0.2020

Main lines, most intense first (2θ = 10–90°):
2theta	I (rel.)
37.6	100
22.5	38
36.8	36
40.3	32
36.9	27
32.1	26


[3]
Diffraction record for PrNpGe4. The powder diffractogram is theoretical, not measured: it uses DFT lattice parameters and positions (GGA-PBE) and Cu Kα (weighted mean of Kα1 and Kα2).
Neutral-atom scattering factors, no anomalous dispersion.

Structure:
Cell lengths 5.6538, 5.6538, 5.6538 Å; angles 60.00, 60.00, 60.00 degrees
Positions (direct):
Pr1 0.0000 0.0000 0.0000
Np1 0.2500 0.2500 0.2500
Ge1 0.1286 0.6238 0.6238
Ge2 0.6238 0.1286 0.6238
Ge3 0.6238 0.6238 0.1286
Ge4 0.6238 0.6238 0.6238

Main lines, most intense first (2θ = 10–90°):
2theta	I (rel.)
37.3	100
31.7	61
60.1	33
56.4	24
66.1	24
39.0	17


[4]
Diffraction record for Np2Ge5Pt3. The powder diffractogram is theoretical, not measured: it uses DFT lattice parameters and positions (GGA-PBE) and Cu Kα (weighted mean of Kα1 and Kα2).
Neutral-atom scattering factors, no anomalous dispersion.

Structure:
Cell lengths 12.6221, 12.6221, 6.8620 Å; angles 90.00, 90.00, 159.97 degrees
Positions (direct):
Np1 0.0189 0.9811 0.5000
Np2 0.3256 0.6744 0.4888
Np3 0.6744 0.3256 0.9888
Np4 0.9811 0.0189 0.0000
Ge1 0.1024 0.8976 0.1467
Ge2 0.2071 0.7929 0.6920
Ge3 0.2104 0.7896 0.2688
Ge4 0.3821 0.6179 0.0229
Ge5 0.4526 0.5474 0.3321
Ge6 0.5474 0.4526 0.8321
Ge7 0.6179 0.3821 0.5229
Ge8 0.7896 0.2104 0.7688
Ge9 0.7929 0.2071 0.1920
Ge10 0.8976 0.1024 0.6467
Pt1 0.1060 0.8940 0.7674
Pt2 0.2806 0.7194 0.9741
Pt3 0.4430 0.5570 0.7178
Pt4 0.5570 0.4430 0.2178
Pt5 0.7194 0.2806 0.4741
Pt6 0.8940 0.1060 0.2674

Main lines, most intense first (2θ = 10–90°):
2theta	I (rel.)
34.9	100
35.0	54
38.5	49
41.1	42
33.9	21
71.0	20


[5]
Diffraction record for Np2Ge3Pt5. The powder diffractogram is theoretical, not measured: it uses DFT lattice parameters and positions (GGA-PBE) and Cu Kα (weighted mean of Kα1 and Kα2).
Neutral-atom scattering factors, no anomalous dispersion.

Structure:
Cell lengths 12.1698, 12.1698, 6.9074 Å; angles 90.01, 90.01, 159.26 degrees
Positions (direct):
Np1 0.0198 0.9802 0.5000
Np2 0.3275 0.6733 0.4841
Np3 0.6733 0.3275 0.9841
Np4 0.9802 0.0198 0.0000
Ge1 0.1032 0.8964 0.8288
Ge2 0.2784 0.7246 0.9089
Ge3 0.4457 0.5545 0.6901
Ge4 0.5545 0.4457 0.1901
Ge5 0.7246 0.2784 0.4089
Ge6 0.8964 0.1032 0.3288
Pt1 0.1113 0.8893 0.2145
Pt2 0.1944 0.8085 0.6355
Pt3 0.2301 0.7725 0.2233
Pt4 0.3799 0.6222 0.9850
Pt5 0.4509 0.5487 0.3045
Pt6 0.5487 0.4509 0.8045
Pt7 0.6222 0.3799 0.4850
Pt8 0.7725 0.2301 0.7233
Pt9 0.8085 0.1944 0.1355
Pt10 0.8893 0.1113 0.7145

Main lines, most intense first (2θ = 10–90°):
2theta	I (rel.)
34.9	100
35.8	83
41.2	50
39.9	26
34.3	25
58.7	24


[6]
Diffraction record for NpGe2Pt4. The powder diffractogram is theoretical, not measured: it uses DFT lattice parameters and positions (GGA-PBE) and Cu Kα (weighted mean of Kα1 and Kα2).
Neutral-atom scattering factors, no anomalous dispersion.

Structure:
Cell lengths 4.3670, 16.6623, 8.0413 Å; angles 90.00, 122.80, 90.00 degrees
Positions (direct):
Np1 0.2204 0.1340 0.4716
Np2 0.2204 0.3660 0.9716
Np3 0.7796 0.6340 0.0284
Np4 0.7796 0.8660 0.5284
Ge1 0.3574 0.7124 0.6044
Ge2 0.3574 0.7876 0.1044
Ge3 0.4475 0.5316 0.1975
Ge4 0.4475 0.9684 0.6975
Ge5 0.5525 0.0316 0.3025
Ge6 0.5525 0.4684 0.8025
Ge7 0.6426 0.2124 0.8956
Ge8 0.6426 0.2876 0.3956
Pt1 0.0378 0.7202 0.7852
Pt2 0.0378 0.7798 0.2852
Pt3 0.0389 0.5468 0.7883
Pt4 0.0389 0.9532 0.2883
Pt5 0.2676 0.5694 0.5160
Pt6 0.2676 0.9306 0.0160
Pt7 0.3795 0.1663 0.1319
Pt8 0.3795 0.3337 0.6319
Pt9 0.6205 0.6663 0.3681
Pt10 0.6205 0.8337 0.8681
Pt11 0.7324 0.0694 0.9840
Pt12 0.7324 0.4306 0.4840
Pt13 0.9611 0.0468 0.7117
Pt14 0.9611 0.4532 0.2117
Pt15 0.9622 0.2202 0.7148
Pt16 0.9622 0.2798 0.2148

Main lines, most intense first (2θ = 10–90°):
2theta	I (rel.)
35.3	100
36.4	98
41.3	67
34.2	36
38.4	28
37.3	28